Computed X-ray powder pattern of ZnAgSbO4 for Cu Kα, 1.54184 Å, from the GGA-PBE geometry in Alexandria.
Neutral-atom scattering factors, no anomalous dispersion.

Structure:
Cell lengths 5.2704, 5.2704, 8.6876 Å; angles 90.00, 90.00, 90.00 degrees
Space group I-4 (No. 82)
Inequivalent atoms, fractional coordinates:
Zn 0.0000 0.0000 0.0000 [2 per cell]
Ag 0.0000 0.5000 0.2500 [2 per cell]
Sb 0.0000 0.5000 0.7500 [2 per cell]
O 0.1764 0.7478 0.8708 [8 per cell]

Largest 6 diffraction maxima, in order of rising 2θ, 10 to 90 degrees two-theta:
- hkl 1 0 1, 19.70°, I 24
- hkl 1 1 0, 23.88°, I 28
- hkl 1 1 2, 31.63°, I 100
- hkl 2 0 0, 34.02°, I 27
- hkl 2 0 4, 54.77°, I 26
- hkl 1 3 2, 59.40°, I 30


Computed X-ray powder pattern of Zn2AgSbO6 for Cu Kα, 1.54184 Å, from the GGA-PBE geometry in Alexandria.
Neutral-atom scattering factors, no anomalous dispersion.

Structure:
Cell lengths 5.4854, 7.7538, 5.5973 Å; angles 90.00, 97.26, 90.00 degrees
Space group P2_1/m (No. 11)
Inequivalent atoms, fractional coordinates:
Zn 0.0147 0.2500 0.0609 [2 per cell]
Zn 0.4598 0.7500 0.4922 [2 per cell]
Ag 0.0000 0.0000 0.5000 [2 per cell]
Sb 0.5000 0.0000 0.0000 [2 per cell]
O 0.1105 0.7500 0.6014 [2 per cell]
O 0.1993 0.5724 0.1172 [4 per cell]
O 0.3472 0.0619 0.6608 [4 per cell]
O 0.3964 0.2500 0.1241 [2 per cell]

Largest 6 diffraction maxima, in order of rising 2θ, 10 to 90 degrees two-theta:
- hkl 1 2 -1, 31.55°, I 100
- hkl 0 0 2, 32.24°, I 49
- hkl 2 0 0, 32.92°, I 42
- hkl 1 2 1, 33.67°, I 77
- hkl 0 4 0, 46.87°, I 22
- hkl 3 2 -1, 56.57°, I 25


Computed X-ray powder pattern of Sc3AgO for Cu Kα, 1.54184 Å, from the GGA-PBE geometry in Alexandria.
Neutral-atom scattering factors, no anomalous dispersion.

Structure:
Cell lengths 6.2508, 6.2508, 5.1806 Å; angles 90.00, 90.00, 120.00 degrees
Space group P6_3/m (No. 176)
Inequivalent atoms, fractional coordinates:
Sc 0.1054 0.7749 0.2500 [6 per cell]
Ag 0.3333 0.6667 0.7500 [2 per cell]
O 0.0000 0.0000 0.0000 [2 per cell]

Largest 6 diffraction maxima, in order of rising 2θ, 10 to 90 degrees two-theta:
- hkl 1 0 1, 23.77°, I 37
- hkl 1 1 0, 28.56°, I 18
- hkl 0 0 2, 34.63°, I 30
- hkl 2 0 1, 37.49°, I 100
- hkl 2 0 2, 48.65°, I 20
- hkl 2 0 3, 63.95°, I 19